The following is a theoretical powder X-ray diffraction pattern of LiNi6O7. It was derived from a crystal structure in Alexandria, relaxed with GGA+U, using λ = 1.5418 Å (Cu Kα).

Structural model:
```
LiNi6O7
1.0
5.1282 0.0000 0.0000
1.7115 5.6705 0.0000
0.8563 -0.2521 8.8412
Li Ni O
2 12 14
Cartesian
1.2818 1.1620 1.8946
6.4142 4.2565 6.9466
0.4282 -0.1260 4.4206
1.2839 2.7092 4.4206
2.1415 3.9952 1.8917
2.9748 2.2017 8.2194
3.8501 5.0314 8.2107
3.8445 3.4975 5.7084
3.0002 0.6325 5.6958
4.6959 4.7859 3.1454
3.8515 1.9209 3.1328
3.8460 0.3871 0.6305
4.7212 3.2167 0.6218
5.5546 1.4233 6.9495
1.3077 4.2592 0.0440
3.0206 5.3056 6.3025
2.1522 2.4187 6.2937
2.9882 3.7329 3.7982
2.1507 0.9103 3.8322
3.8709 4.9881 1.2330
3.0405 2.2099 1.2546
4.6555 3.2085 7.5865
3.8251 0.4303 7.6082
5.5453 4.5081 5.0089
4.7079 1.6856 5.0429
5.5438 2.9997 2.5475
4.6755 0.1129 2.5387
6.3884 1.1593 8.7971
```

Principal peaks in the range 2θ from 15° to 90°, in order of rising 2θ:
index, d/Å, 2theta, I (rel.)
0 1 -1, 4.835, 18.35, 4.8
0 1 1, 4.711, 18.84, 3.3
2 0 1, 2.418, 37.18, 64.4
1 0 4, 2.094, 43.20, 100.0
3 2 3, 1.481, 62.74, 28.6
3 0 -2, 1.480, 62.77, 28.5
4 2 0, 1.263, 75.25, 25.3
4 0 2, 1.209, 79.24, 17.7